No. 1
This entry pairs a crystal structure of Ge3Bi2O9 with its calculated X-ray diffraction stick pattern. Radiation: Cu Kα. Structure: the PBE geometry in the Materials Project.
No peak broadening, texture or thermal motion is included.

Largest 10 diffraction maxima, sorted by position, 2θ = 10–90°:
2θ (°)	I/Imax
14.48	25
22.76	76
25.22	28
29.21	19
30.84	100
38.96	18
44.44	18
48.10	18
57.27	17
60.68	15

```
Ge3Bi2O9
1.0
7.0617 0.0000 0.0000
-3.5308 6.1156 0.0000
0.0000 0.0000 10.1568
Ge Bi O
6 4 18
Direct
0.0700 0.7799 0.2500
0.2201 0.2901 0.2500
0.2901 0.0700 0.7500
0.7099 0.9300 0.2500
0.7799 0.7099 0.7500
0.9300 0.2201 0.7500
0.3333 0.6667 0.5218
0.3333 0.6667 0.9782
0.6667 0.3333 0.0218
0.6667 0.3333 0.4782
0.0629 0.7957 0.7500
0.0717 0.6461 0.1046
0.0717 0.6461 0.3954
0.2043 0.2672 0.7500
0.2672 0.0629 0.2500
0.3539 0.4256 0.1046
0.3539 0.4256 0.3954
0.4256 0.0717 0.6046
0.4256 0.0717 0.8954
0.5744 0.9283 0.1046
0.5744 0.9283 0.3954
0.6461 0.5744 0.6046
0.6461 0.5744 0.8954
0.7328 0.9371 0.7500
0.7957 0.7328 0.2500
0.9283 0.3539 0.6046
0.9283 0.3539 0.8954
0.9371 0.2043 0.2500
```


No. 2
This entry pairs a crystal structure of Ge3Bi4O12 with its calculated X-ray diffraction stick pattern. Radiation: Cu Kα. Structure: the PBE geometry in the Materials Project.
No peak broadening, texture or thermal motion is included.

Largest 10 diffraction maxima, sorted by position, 2θ = 10–90°:
2θ (°)	I/Imax
20.40	59
26.43	100
31.39	99
41.49	44
43.26	33
49.87	17
52.93	38
55.88	24
61.49	21
75.68	17

```
Ge3Bi4O12
1.0
-5.3315 5.3315 5.3315
5.3315 -5.3315 5.3315
5.3315 5.3315 -5.3315
Ge Bi O
6 8 24
Direct
0.1250 0.8750 0.2500
0.2500 0.1250 0.8750
0.3750 0.6250 0.7500
0.6250 0.7500 0.3750
0.7500 0.3750 0.6250
0.8750 0.2500 0.1250
0.0000 0.1735 0.5000
0.0000 0.6735 0.5000
0.1735 0.5000 0.0000
0.3265 0.3265 0.3265
0.5000 0.0000 0.1735
0.5000 0.0000 0.6735
0.6735 0.5000 0.0000
0.8265 0.8265 0.8265
0.0548 0.9152 0.7204
0.0848 0.3052 0.1396
0.1396 0.0848 0.3052
0.1656 0.8604 0.4452
0.1948 0.2796 0.8344
0.2204 0.4152 0.5548
0.2796 0.8344 0.1948
0.3052 0.1396 0.0848
0.3344 0.7796 0.6948
0.3604 0.6656 0.9452
0.4152 0.5548 0.2204
0.4452 0.1656 0.8604
0.5548 0.2204 0.4152
0.5848 0.6396 0.8052
0.6396 0.8052 0.5848
0.6656 0.9452 0.3604
0.6948 0.3344 0.7796
0.7204 0.0548 0.9152
0.7796 0.6948 0.3344
0.8052 0.5848 0.6396
0.8344 0.1948 0.2796
0.8604 0.4452 0.1656
0.9152 0.7204 0.0548
0.9452 0.3604 0.6656
```


No. 3
This entry pairs a crystal structure of Ge2BiO6 with its calculated X-ray diffraction stick pattern. Radiation: Cu Kα. Structure: the PBE geometry in the Materials Project.
No peak broadening, texture or thermal motion is included.

Largest 10 diffraction maxima, sorted by position, 2θ = 10–90°:
2θ (°)	I/Imax
12.71	69
18.33	96
22.83	50
27.19	100
28.28	63
32.01	27
32.88	39
33.45	56
50.39	26
51.37	21

```
Ge2BiO6
1.0
5.2765 -4.8461 0.0000
5.2765 4.8461 0.0000
-1.8162 0.0000 5.4487
Ge Bi O
4 2 12
Direct
0.1242 0.2813 0.2497
0.2813 0.1242 0.7497
0.7187 0.8758 0.2503
0.8758 0.7187 0.7503
0.3765 0.6235 0.7500
0.6235 0.3765 0.2500
0.0953 0.5930 0.8164
0.1115 0.1673 0.4888
0.1673 0.1115 0.9888
0.3225 0.4441 0.3608
0.4070 0.9047 0.6836
0.4441 0.3225 0.8608
0.5559 0.6775 0.1392
0.5930 0.0953 0.3164
0.6775 0.5559 0.6392
0.8327 0.8885 0.0112
0.8885 0.8327 0.5112
0.9047 0.4070 0.1836
```


No. 4
This entry pairs a crystal structure of GeBiO3 with its calculated X-ray diffraction stick pattern. Radiation: Cu Kα. Structure: the PBE geometry in the Materials Project.
No peak broadening, texture or thermal motion is included.

Largest 10 diffraction maxima, sorted by position, 2θ = 10–90°:
2θ (°)	I/Imax
22.52	21
32.06	100
39.54	18
45.98	29
51.78	11
57.15	41
67.05	18
76.27	18
80.73	6
85.13	6

```
GeBiO3
1.0
3.9479 0.0000 0.0000
0.0000 3.9479 0.0000
0.0000 0.0000 3.9479
Ge Bi O
1 1 3
Direct
0.0000 0.0000 0.0000
0.5000 0.5000 0.5000
0.0000 0.0000 0.5000
0.0000 0.5000 0.0000
0.5000 0.0000 0.0000
```


No. 5
This entry pairs a crystal structure of Ge2Bi2Te5 with its calculated X-ray diffraction stick pattern. Radiation: Cu Kα. Structure: the PBE geometry in the Materials Project.
No peak broadening, texture or thermal motion is included.

Largest 10 diffraction maxima, sorted by position, 2θ = 10–90°:
2θ (°)	I/Imax
23.97	8
26.18	9
28.49	100
39.66	36
41.79	37
51.35	20
58.97	11
65.26	16
68.28	17
74.86	11

```
Ge2Bi2Te5
1.0
2.1617 1.2481 19.0648
-2.1617 1.2481 19.0648
0.0000 -2.4961 19.0648
Ge Bi Te
2 2 5
Direct
0.0000 0.0000 0.0000
0.3992 0.3992 0.3992
0.2091 0.2091 0.2091
0.8021 0.8021 0.8021
0.1036 0.1036 0.1036
0.3090 0.3090 0.3090
0.5049 0.5049 0.5049
0.7079 0.7079 0.7079
0.9068 0.9068 0.9068
```